Diffraction record for CsTbCrO4. The powder diffraction line list is computed, not measured: it uses a DFT-relaxed cell (GGA+U, Alexandria) and Cu Kα (λ = 1.5418 Å).
No peak broadening, texture or thermal motion is included.

Crystal structure
```
data_CsTbCrO4
_chemical_formula_sum 'Cs2 Tb2 Cr2 O8'
_cell_length_a 5.8913
_cell_length_b 5.9858
_cell_length_c 8.0944
_cell_angle_alpha 90.00
_cell_angle_beta 108.72
_cell_angle_gamma 90.00
_space_group_name_H-M_alt 'P 1 21/m 1'
_space_group_IT_number 11
loop_
_space_group_symop_operation_xyz
'x,y,z'
'-x,-y,-z'
'-x,y+1/2,-z'
'x,-y+1/2,z'
loop_
_atom_site_label
_atom_site_fract_x
_atom_site_fract_y
_atom_site_fract_z
Cs1 0.2031 0.2500 0.4336
Tb1 0.3072 0.2500 0.9616
Cr1 0.2350 0.7500 0.1492
O1 0.0251 0.7500 0.9385
O2 0.0456 0.7500 0.2818
O3 0.4546 0.5256 0.1608
```

Principal peaks in the range 2θ = 15–90°, sorted by position:
d [Å], Position (°2θ), Rel. int., h k l
4.081, 21.78, 100, 1 1 0
3.948, 22.52, 29, 1 0 1
3.833, 23.21, 36, 0 0 2
3.228, 27.63, 56, 0 1 2
3.193, 27.94, 60, 1 1 -2
2.993, 29.85, 63, 0 2 0
2.641, 33.95, 29, 2 1 -1
2.515, 35.70, 41, 1 1 2
2.466, 36.43, 34, 2 1 -2
2.041, 44.39, 27, 2 2 0